[1]
Theoretical powder X-ray diffraction pattern
Compound: Sr2GeN2
Radiation: λ = 1.5418 Å (Cu Kα)
Structure: a structure optimized by DFT (GGA-PBE)
No peak broadening, texture or thermal motion is included.

Peak list (8 most intense, 15° ≤ 2θ ≤ 90°, low angle first)
| 2θ (°) | intensity |
| --- | --- |
| 28.94 | 79 |
| 31.09 | 30 |
| 31.81 | 100 |
| 33.01 | 79 |
| 34.47 | 41 |
| 45.98 | 21 |
| 56.51 | 26 |
| 58.22 | 24 |

Cell lengths 11.860, 11.860, 5.427 Å; angles 90.00, 90.00, 90.00 degrees
Space group P4_2/mbc (No. 135)
One atom of each set of equivalent atoms:
Sr 0.022 0.349 0.000 (multiplicity 8)
Sr 0.080 0.134 0.500 (multiplicity 8)
Ge 0.151 0.744 0.500 (multiplicity 8)
N 0.012 0.665 0.500 (multiplicity 8)
N 0.099 0.134 0.000 (multiplicity 8)



[2]
Theoretical powder X-ray diffraction pattern
Compound: SrGe7N10
Radiation: λ = 1.5418 Å (Cu Kα)
Structure: a structure optimized by DFT (GGA-PBE)
No peak broadening, texture or thermal motion is included.

Peak list (8 most intense, 15° ≤ 2θ ≤ 90°, low angle first)
| 2θ (°) | intensity |
| --- | --- |
| 18.27 | 37 |
| 24.85 | 39 |
| 27.65 | 85 |
| 28.35 | 85 |
| 29.84 | 100 |
| 35.22 | 61 |
| 37.42 | 98 |
| 63.44 | 38 |

Cell lengths 7.265, 7.167, 10.242 Å; angles 90.00, 105.47, 90.00 degrees
Space group Pc (No. 7)
One atom of each set of equivalent atoms:
Sr 0.000 0.024 0.000 (multiplicity 2)
Ge 0.197 0.393 0.440 (multiplicity 2)
Ge 0.383 0.378 0.749 (multiplicity 2)
Ge 0.435 0.028 0.383 (multiplicity 2)
Ge 0.572 0.370 0.054 (multiplicity 2)
Ge 0.631 0.029 0.692 (multiplicity 2)
Ge 0.751 0.365 0.358 (multiplicity 2)
Ge 0.937 0.373 0.678 (multiplicity 2)
N 0.166 0.416 0.809 (multiplicity 2)
N 0.227 0.154 0.392 (multiplicity 2)
N 0.370 0.498 0.090 (multiplicity 2)
N 0.403 0.125 0.727 (multiplicity 2)
N 0.544 0.116 0.037 (multiplicity 2)
N 0.583 0.461 0.889 (multiplicity 2)
N 0.658 0.127 0.345 (multiplicity 2)
N 0.793 0.415 0.190 (multiplicity 2)
N 0.858 0.140 0.707 (multiplicity 2)
N 0.972 0.372 0.499 (multiplicity 2)